Entry 1:
Simulated powder XRD pattern
Compound: KAlSiO4
Radiation: a wavelength of 1.5418 Å
Structure: DFT lattice parameters and positions (GGA-PBE)
No peak broadening, texture or thermal motion is included.

Most intense lines, 2θ = 10–80°, sorted by position:
2θ (°), d [Å], I/Imax, (hkl)
22.05, 4.032, 55, 1 0 1
28.18, 3.166, 100, 1 0 2
34.30, 2.615, 72, 1 1 0
40.05, 2.251, 25, 1 1 2
40.75, 2.214, 18, 0 0 4
57.75, 1.597, 19, 3 -1 2
61.42, 1.510, 23, 3 0 0
73.70, 1.285, 16, 1 1 6

Structural model:
Unit cell a=5.2291 b=5.2291 c=8.8568 alpha=90.00 beta=90.00 gamma=120.00
Space group P31c (No. 159)
Asymmetric unit:
K  0.0000  0.0000  0.0000 x2
Al  0.3333  0.6667  0.3060 x2
Si  0.3333  0.6667  0.6881 x2
O  0.0144  0.6179  0.7461 x6
O  0.3333  0.6667  0.5037 x2

---

Entry 2:
Simulated powder XRD pattern
Compound: TiAuN2O
Radiation: a wavelength of 1.5418 Å
Structure: DFT lattice parameters and positions (GGA-PBE)
No peak broadening, texture or thermal motion is included.

Most intense lines, 2θ = 10–80°, sorted by position:
2θ (°), d [Å], I/Imax, (hkl)
21.85, 4.068, 42, 1 0 0
23.53, 3.780, 19, 0 0 1
31.09, 2.876, 58, 1 1 0
32.33, 2.769, 100, 1 0 1
39.36, 2.289, 42, 1 1 1
44.55, 2.034, 32, 2 0 0
56.10, 1.639, 43, 2 1 1
58.42, 1.580, 20, 1 1 2

Structural model:
Unit cell a=4.0679 b=4.0679 c=3.7805 alpha=90.00 beta=90.00 gamma=90.00
Space group P4/mmm (No. 123)
Asymmetric unit:
Ti  0.0000  0.0000  0.0000 x1
Au  0.5000  0.5000  0.5000 x1
N  0.0000  0.5000  0.0000 x2
O  0.0000  0.0000  0.5000 x1